Entry 1:
Theoretical powder X-ray diffraction pattern
Compound: Li4Ni3BiO8
Radiation: CuKα
Structure: a GGA+U-relaxed structure

Cell and atoms:
```
data_Li4Ni3BiO8
_chemical_formula_sum 'Li8 Ni6 Bi2 O16'
_space_group_name_H-M_alt 'P 1'
_space_group_IT_number 1
_space_group_name_Hall 'P 1'
_cell_length_a 6.054
_cell_length_b 6.054
_cell_length_c 10.504
_cell_angle_alpha 106.54
_cell_angle_beta 106.54
_cell_angle_gamma 60.47
loop_
_atom_site_label
_atom_site_fract_x
_atom_site_fract_y
_atom_site_fract_z
_atom_site_occupancy
Li1 0.014 0.986 0.500 1
Li2 0.258 0.757 0.264 1
Li3 0.258 0.758 0.763 1
Li4 0.501 0.529 0.026 1
Li5 0.529 0.501 0.526 1
Li6 0.757 0.258 0.764 1
Li7 0.758 0.258 0.263 1
Li8 0.986 0.014 0.000 1
Ni1 0.005 0.510 0.514 1
Ni2 0.257 0.258 0.263 1
Ni3 0.258 0.257 0.763 1
Ni4 0.510 0.005 0.014 1
Ni5 0.758 0.758 0.263 1
Ni6 0.758 0.758 0.763 1
Bi1 0.011 0.504 0.013 1
Bi2 0.504 0.011 0.513 1
O1 0.095 0.631 0.375 1
O2 0.131 0.631 0.888 1
O3 0.133 0.140 0.391 1
O4 0.140 0.133 0.891 1
O5 0.374 0.382 0.635 1
O6 0.382 0.374 0.135 1
O7 0.384 0.884 0.639 1
O8 0.419 0.884 0.151 1
O9 0.631 0.095 0.875 1
O10 0.631 0.131 0.388 1
O11 0.639 0.642 0.385 1
O12 0.642 0.639 0.885 1
O13 0.873 0.878 0.642 1
O14 0.878 0.873 0.142 1
O15 0.884 0.384 0.139 1
O16 0.884 0.419 0.651 1
```

Largest 6 diffraction maxima, in order of rising 2θ, 2θ from 10° to 90°:
2θ = 17.9°, I = 100
2θ = 34.6°, I = 35
2θ = 34.7°, I = 20
2θ = 36.2°, I = 21
2θ = 42.0°, I = 33
2θ = 46.1°, I = 21

=====

Entry 2:
Theoretical powder X-ray diffraction pattern
Compound: Sr2NdMn2O7
Radiation: CuKα
Structure: a GGA+U-relaxed structure

Cell and atoms:
```
data_Sr2NdMn2O7
_chemical_formula_sum 'Sr2 Nd1 Mn2 O7'
_space_group_name_H-M_alt 'P 1'
_space_group_IT_number 1
_space_group_name_Hall 'P 1'
_cell_length_a 10.425
_cell_length_b 10.425
_cell_length_c 10.425
_cell_angle_alpha 158.35
_cell_angle_beta 158.35
_cell_angle_gamma 30.80
loop_
_atom_site_label
_atom_site_fract_x
_atom_site_fract_y
_atom_site_fract_z
_atom_site_occupancy
Sr1 0.183 0.183 0.000 1
Sr2 0.817 0.817 0.000 1
Nd1 0.000 0.000 0.000 1
Mn1 0.403 0.403 0.000 1
Mn2 0.597 0.597 0.000 1
O1 0.090 0.590 0.500 1
O2 0.306 0.306 0.000 1
O3 0.410 0.910 0.500 1
O4 0.500 0.500 0.000 1
O5 0.590 0.090 0.500 1
O6 0.694 0.694 0.000 1
O7 0.910 0.410 0.500 1
```

Largest 6 diffraction maxima, in order of rising 2θ, 2θ from 10° to 90°:
2θ = 31.9°, I = 100
2θ = 32.3°, I = 65
2θ = 42.4°, I = 29
2θ = 46.4°, I = 39
2θ = 56.6°, I = 16
2θ = 57.4°, I = 38

=====

Entry 3:
Theoretical powder X-ray diffraction pattern
Compound: TiCr3P6O24
Radiation: CuKα
Structure: a GGA+U-relaxed structure

Cell and atoms:
```
data_TiCr3P6O24
_chemical_formula_sum 'Ti1 Cr3 P6 O24'
_space_group_name_H-M_alt 'P 1'
_space_group_IT_number 1
_space_group_name_Hall 'P 1'
_cell_length_a 8.809
_cell_length_b 8.809
_cell_length_c 8.809
_cell_angle_alpha 58.42
_cell_angle_beta 58.42
_cell_angle_gamma 58.42
loop_
_atom_site_label
_atom_site_fract_x
_atom_site_fract_y
_atom_site_fract_z
_atom_site_occupancy
Ti1 0.000 0.000 0.000 1
Cr1 0.217 0.217 0.217 1
Cr2 0.502 0.502 0.502 1
Cr3 0.717 0.717 0.717 1
P1 0.109 0.395 0.826 1
P2 0.329 0.893 0.605 1
P3 0.395 0.826 0.109 1
P4 0.605 0.329 0.893 1
P5 0.826 0.109 0.395 1
P6 0.893 0.605 0.329 1
O1 0.075 0.432 0.302 1
O2 0.081 0.222 0.854 1
O3 0.138 0.369 0.997 1
O4 0.148 0.920 0.780 1
O5 0.222 0.854 0.081 1
O6 0.281 0.426 0.642 1
O7 0.302 0.075 0.432 1
O8 0.355 0.722 0.576 1
O9 0.369 0.997 0.138 1
O10 0.426 0.642 0.281 1
O11 0.432 0.302 0.075 1
O12 0.499 0.867 0.635 1
O13 0.576 0.355 0.722 1
O14 0.579 0.797 0.937 1
O15 0.635 0.499 0.867 1
O16 0.642 0.281 0.426 1
O17 0.722 0.576 0.355 1
O18 0.780 0.148 0.920 1
O19 0.797 0.937 0.579 1
O20 0.854 0.081 0.222 1
O21 0.867 0.635 0.499 1
O22 0.920 0.780 0.148 1
O23 0.937 0.579 0.797 1
O24 0.997 0.138 0.369 1
```

Largest 6 diffraction maxima, in order of rising 2θ, 2θ from 10° to 90°:
2θ = 14.4°, I = 42
2θ = 20.2°, I = 52
2θ = 20.7°, I = 24
2θ = 24.0°, I = 100
2θ = 29.0°, I = 44
2θ = 32.2°, I = 29

=====

Entry 4:
Theoretical powder X-ray diffraction pattern
Compound: Ba2CaMnFe2F14
Radiation: CuKα
Structure: a GGA+U-relaxed structure

Cell and atoms:
```
data_Ba2CaMnFe2F14
_chemical_formula_sum 'Ba4 Ca2 Mn2 Fe4 F28'
_space_group_name_H-M_alt 'P 1'
_space_group_IT_number 1
_space_group_name_Hall 'P 1'
_cell_length_a 7.501
_cell_length_b 7.501
_cell_length_c 15.276
_cell_angle_alpha 91.89
_cell_angle_beta 91.89
_cell_angle_gamma 42.87
loop_
_atom_site_label
_atom_site_fract_x
_atom_site_fract_y
_atom_site_fract_z
_atom_site_occupancy
Ba1 0.144 0.240 0.119 1
Ba2 0.240 0.144 0.619 1
Ba3 0.760 0.856 0.381 1
Ba4 0.856 0.760 0.881 1
Ca1 0.439 0.561 0.250 1
Ca2 0.561 0.439 0.750 1
Mn1 0.500 0.500 0.000 1
Mn2 0.500 0.500 0.500 1
Fe1 0.111 0.126 0.377 1
Fe2 0.126 0.111 0.877 1
Fe3 0.874 0.889 0.123 1
Fe4 0.889 0.874 0.623 1
F1 0.038 0.636 0.220 1
F2 0.075 0.904 0.341 1
F3 0.092 0.744 0.515 1
F4 0.096 0.925 0.159 1
F5 0.169 0.580 0.697 1
F6 0.171 0.577 0.049 1
F7 0.193 0.305 0.418 1
F8 0.256 0.908 0.985 1
F9 0.305 0.193 0.918 1
F10 0.358 0.520 0.876 1
F11 0.364 0.962 0.280 1
F12 0.420 0.831 0.803 1
F13 0.423 0.829 0.451 1
F14 0.480 0.642 0.624 1
F15 0.520 0.358 0.376 1
F16 0.577 0.171 0.549 1
F17 0.580 0.169 0.197 1
F18 0.636 0.038 0.720 1
F19 0.642 0.480 0.124 1
F20 0.695 0.807 0.082 1
F21 0.744 0.092 0.015 1
F22 0.807 0.695 0.582 1
F23 0.829 0.423 0.951 1
F24 0.831 0.420 0.303 1
F25 0.904 0.075 0.841 1
F26 0.908 0.256 0.485 1
F27 0.925 0.096 0.659 1
F28 0.962 0.364 0.780 1
```

Largest 6 diffraction maxima, in order of rising 2θ, 2θ from 10° to 90°:
2θ = 23.3°, I = 33
2θ = 25.1°, I = 100
2θ = 26.2°, I = 26
2θ = 27.4°, I = 32
2θ = 29.0°, I = 32
2θ = 29.4°, I = 29

=====

Entry 5:
Theoretical powder X-ray diffraction pattern
Compound: NaAsW2O9
Radiation: CuKα
Structure: a GGA+U-relaxed structure

Cell and atoms:
```
data_NaAsW2O9
_chemical_formula_sum 'Na4 As4 W8 O36'
_space_group_name_H-M_alt 'P 1'
_space_group_IT_number 1
_space_group_name_Hall 'P 1'
_cell_length_a 5.001
_cell_length_b 8.900
_cell_length_c 16.860
_cell_angle_alpha 90.00
_cell_angle_beta 90.00
_cell_angle_gamma 90.00
loop_
_atom_site_label
_atom_site_fract_x
_atom_site_fract_y
_atom_site_fract_z
_atom_site_occupancy
Na1 0.196 0.015 0.391 1
Na2 0.304 0.985 0.891 1
Na3 0.696 0.485 0.609 1
Na4 0.804 0.515 0.109 1
As1 0.136 0.229 0.229 1
As2 0.364 0.771 0.729 1
As3 0.636 0.271 0.771 1
As4 0.864 0.729 0.271 1
W1 0.115 0.107 0.656 1
W2 0.137 0.619 0.456 1
W3 0.363 0.381 0.956 1
W4 0.385 0.893 0.156 1
W5 0.615 0.393 0.344 1
W6 0.637 0.881 0.544 1
W7 0.863 0.119 0.044 1
W8 0.885 0.607 0.844 1
O1 0.013 0.271 0.138 1
O2 0.035 0.752 0.899 1
O3 0.095 0.652 0.744 1
O4 0.095 0.755 0.196 1
O5 0.134 0.450 0.869 1
O6 0.137 0.976 0.082 1
O7 0.145 0.205 0.976 1
O8 0.218 0.497 0.028 1
O9 0.221 0.045 0.244 1
O10 0.279 0.955 0.744 1
O11 0.282 0.503 0.528 1
O12 0.355 0.795 0.476 1
O13 0.363 0.024 0.582 1
O14 0.366 0.550 0.369 1
O15 0.405 0.245 0.696 1
O16 0.405 0.348 0.244 1
O17 0.465 0.248 0.399 1
O18 0.487 0.729 0.638 1
O19 0.513 0.229 0.862 1
O20 0.535 0.748 0.101 1
O21 0.595 0.745 0.804 1
O22 0.595 0.848 0.256 1
O23 0.634 0.050 0.131 1
O24 0.637 0.524 0.918 1
O25 0.645 0.295 0.024 1
O26 0.718 0.003 0.972 1
O27 0.721 0.455 0.756 1
O28 0.779 0.545 0.256 1
O29 0.782 0.997 0.472 1
O30 0.855 0.705 0.524 1
O31 0.863 0.476 0.418 1
O32 0.866 0.950 0.631 1
O33 0.905 0.152 0.756 1
O34 0.905 0.255 0.304 1
O35 0.965 0.252 0.601 1
O36 0.987 0.771 0.362 1
```

Largest 6 diffraction maxima, in order of rising 2θ, 2θ from 10° to 90°:
2θ = 14.5°, I = 100
2θ = 18.7°, I = 45
2θ = 23.0°, I = 71
2θ = 25.9°, I = 66
2θ = 26.8°, I = 42
2θ = 27.3°, I = 51

=====

Entry 6:
Theoretical powder X-ray diffraction pattern
Compound: MgMn4Si8O22
Radiation: CuKα
Structure: a GGA+U-relaxed structure

Cell and atoms:
```
data_MgMn4Si8O22
_chemical_formula_sum 'Mg1 Mn4 Si8 O22'
_space_group_name_H-M_alt 'P 1'
_space_group_IT_number 1
_space_group_name_Hall 'P 1'
_cell_length_a 7.166
_cell_length_b 8.255
_cell_length_c 8.764
_cell_angle_alpha 98.99
_cell_angle_beta 102.98
_cell_angle_gamma 109.71
loop_
_atom_site_label
_atom_site_fract_x
_atom_site_fract_y
_atom_site_fract_z
_atom_site_occupancy
Mg1 0.000 0.000 0.000 1
Mn1 0.119 0.418 0.110 1
Mn2 0.379 0.650 0.885 1
Mn3 0.621 0.350 0.115 1
Mn4 0.881 0.582 0.890 1
Si1 0.009 0.241 0.719 1
Si2 0.273 0.612 0.475 1
Si3 0.306 0.950 0.129 1
Si4 0.446 0.245 0.713 1
Si5 0.554 0.755 0.287 1
Si6 0.694 0.050 0.871 1
Si7 0.727 0.388 0.525 1
Si8 0.991 0.759 0.281 1
O1 0.077 0.414 0.876 1
O2 0.120 0.935 0.221 1
O3 0.137 0.739 0.440 1
O4 0.164 0.791 0.958 1
O5 0.168 0.429 0.327 1
O6 0.202 0.196 0.691 1
O7 0.295 0.573 0.648 1
O8 0.327 0.134 0.075 1
O9 0.408 0.581 0.130 1
O10 0.493 0.074 0.767 1
O11 0.499 0.268 0.547 1
O12 0.501 0.732 0.453 1
O13 0.507 0.926 0.233 1
O14 0.592 0.419 0.870 1
O15 0.673 0.866 0.925 1
O16 0.705 0.427 0.352 1
O17 0.798 0.804 0.309 1
O18 0.832 0.571 0.673 1
O19 0.836 0.209 0.042 1
O20 0.863 0.261 0.560 1
O21 0.880 0.065 0.779 1
O22 0.923 0.586 0.124 1
```

Largest 6 diffraction maxima, in order of rising 2θ, 2θ from 10° to 90°:
2θ = 10.7°, I = 100
2θ = 11.8°, I = 65
2θ = 27.1°, I = 37
2θ = 28.5°, I = 46
2θ = 28.7°, I = 72
2θ = 32.3°, I = 53

=====

Entry 7:
Theoretical powder X-ray diffraction pattern
Compound: Li2MnPCO7
Radiation: CuKα
Structure: a GGA+U-relaxed structure

Cell and atoms:
```
data_Li2MnPCO7
_chemical_formula_sum 'Li4 Mn2 P2 C2 O14'
_space_group_name_H-M_alt 'P 1'
_space_group_IT_number 1
_space_group_name_Hall 'P 1'
_cell_length_a 5.177
_cell_length_b 6.296
_cell_length_c 8.581
_cell_angle_alpha 90.00
_cell_angle_beta 92.26
_cell_angle_gamma 90.00
loop_
_atom_site_label
_atom_site_fract_x
_atom_site_fract_y
_atom_site_fract_z
_atom_site_occupancy
Li1 0.219 0.021 0.287 1
Li2 0.219 0.479 0.287 1
Li3 0.781 0.521 0.713 1
Li4 0.781 0.979 0.713 1
Mn1 0.227 0.750 0.852 1
Mn2 0.773 0.250 0.148 1
P1 0.292 0.250 0.932 1
P2 0.708 0.750 0.068 1
C1 0.281 0.750 0.555 1
C2 0.719 0.250 0.445 1
O1 0.065 0.750 0.635 1
O2 0.190 0.250 0.098 1
O3 0.195 0.057 0.836 1
O4 0.195 0.443 0.836 1
O5 0.268 0.750 0.407 1
O6 0.404 0.750 0.055 1
O7 0.492 0.750 0.641 1
O8 0.508 0.250 0.359 1
O9 0.596 0.250 0.945 1
O10 0.732 0.250 0.593 1
O11 0.805 0.557 0.164 1
O12 0.805 0.943 0.164 1
O13 0.810 0.750 0.902 1
O14 0.935 0.250 0.365 1
```

Largest 6 diffraction maxima, in order of rising 2θ, 2θ from 10° to 90°:
2θ = 10.3°, I = 100
2θ = 17.5°, I = 39
2θ = 19.7°, I = 26
2θ = 26.5°, I = 39
2θ = 28.4°, I = 55
2θ = 34.7°, I = 26

=====

Entry 8:
Theoretical powder X-ray diffraction pattern
Compound: FePtO2
Radiation: CuKα
Structure: a GGA+U-relaxed structure

Cell and atoms:
```
data_FePtO2
_chemical_formula_sum 'Fe1 Pt1 O2'
_space_group_name_H-M_alt 'P 1'
_space_group_IT_number 1
_space_group_name_Hall 'P 1'
_cell_length_a 2.996
_cell_length_b 2.996
_cell_length_c 6.412
_cell_angle_alpha 103.59
_cell_angle_beta 103.59
_cell_angle_gamma 59.92
loop_
_atom_site_label
_atom_site_fract_x
_atom_site_fract_y
_atom_site_fract_z
_atom_site_occupancy
Fe1 0.000 0.000 0.000 1
Pt1 0.500 0.500 0.500 1
O1 0.389 0.389 0.171 1
O2 0.611 0.611 0.829 1
```

Largest 6 diffraction maxima, in order of rising 2θ, 2θ from 10° to 90°:
2θ = 14.4°, I = 57
2θ = 28.9°, I = 48
2θ = 34.9°, I = 41
2θ = 36.0°, I = 100
2θ = 39.8°, I = 56
2θ = 53.0°, I = 36